This entry pairs a crystal structure of HoTaCrO6 with its simulated X-ray diffraction stick pattern. Radiation: Cu Kα. Structure: a PBE+U-relaxed structure.
Lines closer than 0.1° are merged.

Crystal structure
abc: 4.802 4.802 9.513
angles: 90.00 90.00 90.00
Space group P4_2nm (No. 102)
Asymmetric unit:
Ho1 0.000 0.000 0.000 (multiplicity 2)
Ta1 0.000 0.000 0.339 (multiplicity 2)
Cr1 0.000 0.000 0.671 (multiplicity 2)
O1 0.177 0.177 0.508 (multiplicity 4)
O2 0.208 0.208 0.819 (multiplicity 4)
O3 0.214 0.214 0.189 (multiplicity 4)

Main lines, by angle (2θ = 10–80°):
Position (°2θ)  intensity  hkl
18.66  10  0 0 2
20.72  24  1 0 1
26.25  100  1 1 0
32.40  12  1 1 2
33.88  83  1 0 3
37.46  24  2 0 0
51.39  65  2 1 3
54.02  17  2 2 0
61.02  16  3 1 0
64.91  15  1 1 6
65.30  19  3 0 3
77.79  14  3 2 3